(1)
Theoretical XRD peak list
Compound: MgCu6O4F4
Radiation: Cu Kα, 1.54184 Å
Structure: a structure optimized by DFT (PBE)

Crystal structure
```
data_MgCu6O4F4
_chemical_formula_sum 'Mg1 Cu6 O4 F4'
_space_group_name_H-M_alt 'P 1'
_space_group_IT_number 1
_cell_length_a 5.498
_cell_length_b 5.607
_cell_length_c 6.067
_cell_angle_alpha 90.61
_cell_angle_beta 90.35
_cell_angle_gamma 109.42
loop_
_space_group_symop_operation_xyz
'x,y,z'
loop_
_atom_site_label
_atom_site_type_symbol
_atom_site_fract_x
_atom_site_fract_y
_atom_site_fract_z
Mg1 Mg 0.000 0.000 0.000
Cu1 Cu 0.008 0.795 0.405
Cu2 Cu 0.011 0.419 0.811
Cu3 Cu 0.493 0.602 0.471
Cu4 Cu 0.504 0.094 0.719
Cu5 Cu 0.532 0.553 0.979
Cu6 Cu 0.555 0.077 0.230
O1 O 0.330 0.405 0.723
O2 O 0.356 0.883 0.473
O3 O 0.700 0.283 0.968
O4 O 0.718 0.794 0.207
F1 F 0.227 0.244 0.201
F2 F 0.233 0.810 0.959
F3 F 0.750 0.404 0.470
F4 F 0.831 0.903 0.718
```

Main lines, low angle first (10° ≤ 2θ ≤ 80°):
- hkl 1 0 0, 17.10°, rel. 76
- hkl 0 1 1, 22.45°, rel. 71
- hkl 1 -2 0, 32.50°, rel. 100
- hkl 0 1 -2, 33.87°, rel. 87
- hkl 0 1 2, 34.28°, rel. 57
- hkl 2 0 0, 34.60°, rel. 85
- hkl 1 -1 2, 35.60°, rel. 63
- hkl 1 1 -2, 40.64°, rel. 95
- hkl 1 1 2, 41.26°, rel. 85
- hkl 1 2 0, 43.27°, rel. 59

(2)
Theoretical XRD peak list
Compound: CrN2
Radiation: Cu Kα, 1.54184 Å
Structure: a structure optimized by DFT (PBE)

Crystal structure
```
data_CrN2
_chemical_formula_sum 'Cr32 N64'
_space_group_name_H-M_alt 'I 41/a m d'
_space_group_IT_number 141
_cell_length_a 10.919
_cell_length_b 10.919
_cell_length_c 22.714
_cell_angle_alpha 90.00
_cell_angle_beta 90.00
_cell_angle_gamma 90.00
loop_
_space_group_symop_operation_xyz
'x,y,z'
'-x,-y,-z'
'-y+1/4,x+3/4,z+1/4'
'y+1/4,-x+3/4,-z+1/4'
'-x+1/2,-y,z+1/2'
'x+1/2,y,-z+1/2'
'y+1/4,-x+1/4,z+3/4'
'-y+1/4,x+1/4,-z+3/4'
'x,-y,-z'
'-x,y,z'
'-y+1/4,-x+1/4,-z+3/4'
'y+1/4,x+1/4,z+3/4'
'-x+1/2,y,-z+1/2'
'x+1/2,-y,z+1/2'
'y+1/4,x+3/4,-z+1/4'
'-y+1/4,-x+3/4,z+1/4'
'x+1/2,y+1/2,z+1/2'
'-x+1/2,-y+1/2,-z+1/2'
'-y+3/4,x+1/4,z+3/4'
'y+3/4,-x+1/4,-z+3/4'
'-x,-y+1/2,z'
'x,y+1/2,-z'
'y+3/4,-x+3/4,z+1/4'
'-y+3/4,x+3/4,-z+1/4'
'x+1/2,-y+1/2,-z+1/2'
'-x+1/2,y+1/2,z+1/2'
'-y+3/4,-x+3/4,-z+1/4'
'y+3/4,x+3/4,z+1/4'
'-x,y+1/2,-z'
'x,-y+1/2,z'
'y+3/4,x+1/4,-z+3/4'
'-y+3/4,-x+1/4,z+3/4'
loop_
_atom_site_label
_atom_site_type_symbol
_atom_site_fract_x
_atom_site_fract_y
_atom_site_fract_z
Cr1 Cr 0.150 0.093 0.304
N1 N 0.000 0.047 0.293
N2 N 0.000 0.099 0.449
N3 N 0.196 0.054 0.375
N4 N 0.210 0.000 0.500
```

Main lines, low angle first (10° ≤ 2θ ≤ 80°):
- hkl 1 1 2, 13.87°, rel. 62
- hkl 2 0 0, 16.24°, rel. 74
- hkl 2 1 1, 18.59°, rel. 21
- hkl 1 0 5, 21.18°, rel. 34
- hkl 3 0 1, 24.77°, rel. 100
- hkl 1 1 6, 26.22°, rel. 24
- hkl 3 1 2, 26.99°, rel. 50
- hkl 1 0 7, 28.70°, rel. 30
- hkl 0 0 8, 31.50°, rel. 31
- hkl 3 1 6, 35.18°, rel. 37

(3)
Theoretical XRD peak list
Compound: Ca3Ir2N4
Radiation: Cu Kα, 1.54184 Å
Structure: a structure optimized by DFT (PBE)

Crystal structure
```
data_Ca3Ir2N4
_chemical_formula_sum 'Ca12 Ir8 N16'
_space_group_name_H-M_alt 'C 1 2/c 1'
_space_group_IT_number 15
_cell_length_a 10.836
_cell_length_b 9.093
_cell_length_c 5.341
_cell_angle_alpha 90.00
_cell_angle_beta 91.45
_cell_angle_gamma 90.00
loop_
_space_group_symop_operation_xyz
'x,y,z'
'-x,-y,-z'
'-x,y,-z+1/2'
'x,-y,z+1/2'
'x+1/2,y+1/2,z'
'-x+1/2,-y+1/2,-z'
'-x+1/2,y+1/2,-z+1/2'
'x+1/2,-y+1/2,z+1/2'
loop_
_atom_site_label
_atom_site_type_symbol
_atom_site_fract_x
_atom_site_fract_y
_atom_site_fract_z
Ca1 Ca 0.000 0.091 0.250
Ca2 Ca 0.119 0.341 0.553
Ir1 Ir 0.236 0.113 0.915
N1 N 0.100 0.316 0.029
N2 N 0.160 0.072 0.566
```

Main lines, low angle first (10° ≤ 2θ ≤ 80°):
- hkl 2 0 0, 16.37°, rel. 100
- hkl 1 1 -1, 20.80°, rel. 33
- hkl 1 1 1, 21.13°, rel. 29
- hkl 2 2 1, 30.89°, rel. 43
- hkl 3 1 -1, 31.14°, rel. 39
- hkl 1 1 -2, 35.82°, rel. 26
- hkl 0 4 0, 39.65°, rel. 22
- hkl 3 3 -1, 42.19°, rel. 26
- hkl 4 2 1, 42.74°, rel. 22
- hkl 1 3 -2, 45.90°, rel. 21

(4)
Theoretical XRD peak list
Compound: Li2CdIn
Radiation: Cu Kα, 1.54184 Å
Structure: a structure optimized by DFT (PBE)

Crystal structure
```
data_Li2CdIn
_chemical_formula_sum 'Li8 Cd4 In4'
_space_group_name_H-M_alt 'F m -3 m'
_space_group_IT_number 225
_space_group_name_Hall '-F 4 2 3'
_cell_length_a 6.699
_cell_length_b 6.699
_cell_length_c 6.699
_cell_angle_alpha 90.00
_cell_angle_beta 90.00
_cell_angle_gamma 90.00
loop_
_atom_site_label
_atom_site_type_symbol
_atom_site_fract_x
_atom_site_fract_y
_atom_site_fract_z
Li1 Li 0.250 0.250 0.250
Cd1 Cd 0.000 0.000 0.000
In1 In 0.000 0.000 0.500
```

Main lines, low angle first (10° ≤ 2θ ≤ 80°):
- hkl 2 0 0, 26.61°, rel. 100
- hkl 2 2 0, 37.99°, rel. 92
- hkl 2 2 2, 46.99°, rel. 28
- hkl 4 0 0, 54.81°, rel. 15
- hkl 4 2 0, 61.95°, rel. 35
- hkl 4 2 2, 68.63°, rel. 31

(5)
Theoretical XRD peak list
Compound: Ca2Mg
Radiation: Cu Kα, 1.54184 Å
Structure: a structure optimized by DFT (PBE)

Crystal structure
```
data_Ca2Mg
_chemical_formula_sum 'Ca8 Mg4'
_space_group_name_H-M_alt 'C m c m'
_space_group_IT_number 63
_space_group_name_Hall '-C 2c 2'
_cell_length_a 10.989
_cell_length_b 6.312
_cell_length_c 5.945
_cell_angle_alpha 90.00
_cell_angle_beta 90.00
_cell_angle_gamma 90.00
loop_
_atom_site_label
_atom_site_type_symbol
_atom_site_fract_x
_atom_site_fract_y
_atom_site_fract_z
Ca1 Ca 0.160 0.181 0.250
Mg1 Mg 0.000 0.334 0.750
```

Main lines, low angle first (10° ≤ 2θ ≤ 80°):
- hkl 1 1 1, 22.08°, rel. 7
- hkl 3 1 0, 28.17°, rel. 12
- hkl 0 2 0, 28.28°, rel. 12
- hkl 0 0 2, 30.06°, rel. 27
- hkl 3 1 1, 32.04°, rel. 100
- hkl 0 2 2, 41.70°, rel. 16
- hkl 3 3 0, 49.99°, rel. 11
- hkl 3 1 3, 54.64°, rel. 19
- hkl 3 3 2, 59.45°, rel. 12
- hkl 6 2 1, 60.48°, rel. 7

(6)
Theoretical XRD peak list
Compound: LiCeZn2
Radiation: Cu Kα, 1.54184 Å
Structure: a structure optimized by DFT (PBE)

Crystal structure
```
data_LiCeZn2
_chemical_formula_sum 'Li4 Ce4 Zn8'
_space_group_name_H-M_alt 'F m -3 m'
_space_group_IT_number 225
_space_group_name_Hall '-F 4 2 3'
_cell_length_a 6.850
_cell_length_b 6.850
_cell_length_c 6.850
_cell_angle_alpha 90.00
_cell_angle_beta 90.00
_cell_angle_gamma 90.00
loop_
_atom_site_label
_atom_site_type_symbol
_atom_site_fract_x
_atom_site_fract_y
_atom_site_fract_z
Li1 Li 0.000 0.000 0.000
Ce1 Ce 0.000 0.000 0.500
Zn1 Zn 0.250 0.250 0.250
```

Main lines, low angle first (10° ≤ 2θ ≤ 80°):
- hkl 1 1 1, 22.48°, rel. 53
- hkl 2 2 0, 37.12°, rel. 100
- hkl 3 1 1, 43.83°, rel. 27
- hkl 4 0 0, 53.51°, rel. 17
- hkl 3 3 1, 58.76°, rel. 11
- hkl 4 2 2, 66.92°, rel. 34
- hkl 5 1 1, 71.58°, rel. 8
- hkl 4 4 0, 79.08°, rel. 10

(7)
Theoretical XRD peak list
Compound: Ba2NCl
Radiation: Cu Kα, 1.54184 Å
Structure: a structure optimized by DFT (PBE)

Crystal structure
```
data_Ba2NCl
_chemical_formula_sum 'Ba6 N3 Cl3'
_space_group_name_H-M_alt 'R -3 m'
_space_group_IT_number 166
_space_group_name_Hall '-R 3 2"'
_cell_length_a 4.1571
_cell_length_b 4.1571
_cell_length_c 23.0640
_cell_angle_alpha 90.00
_cell_angle_beta 90.00
_cell_angle_gamma 120.00
loop_
_atom_site_label
_atom_site_type_symbol
_atom_site_fract_x
_atom_site_fract_y
_atom_site_fract_z
Ba1 Ba 0.0000 0.0000 0.2314
N1 N 0.0000 0.0000 0.5000
Cl1 Cl 0.0000 0.0000 0.0000
```

Main lines, low angle first (10° ≤ 2θ ≤ 80°):
- hkl 0 0 3, 11.51°, rel. 16
- hkl 0 0 6, 23.14°, rel. 16
- hkl 0 1 2, 25.93°, rel. 69
- hkl 1 0 4, 29.24°, rel. 100
- hkl 0 1 5, 31.52°, rel. 28
- hkl 1 0 7, 36.98°, rel. 19
- hkl 0 1 8, 40.07°, rel. 21
- hkl 1 1 0, 43.54°, rel. 39
- hkl 0 2 4, 53.31°, rel. 17
- hkl 1 1 9, 57.05°, rel. 23